[1]
La2B4Rh5: computed XRD peak list (Cu Ka), based on a crystal structure in the Materials Project, relaxed with GGA-PBE.

```
data_La2B4Rh5
_chemical_formula_sum 'La8 B16 Rh20'
_cell_length_a 5.5516
_cell_length_b 10.1053
_cell_length_c 11.3768
_cell_angle_alpha 90.00
_cell_angle_beta 90.00
_cell_angle_gamma 90.00
_symmetry_space_group_name_H-M 'F m m m'
_symmetry_Int_Tables_number 69
_symmetry_space_group_name_Hall '-F 2 2'
loop_
_atom_site_label
_atom_site_fract_x
_atom_site_fract_y
_atom_site_fract_z
La1 0.0000 0.0000 0.1437
B1 0.0000 0.1617 0.3704
Rh1 0.0000 0.0000 0.5000
Rh2 0.2500 0.2500 0.0000
Rh3 0.2500 0.2500 0.2500
```

Largest 10 diffraction maxima, by intensity, 2θ = 10–90°:
- (2 2 0), 36.95°, I 100.0
- (1 1 3), 29.87°, I 66.0
- (0 4 0), 35.54°, I 55.0
- (0 2 4), 36.24°, I 50.8
- (1 3 3), 39.28°, I 38.6
- (2 0 4), 45.67°, I 30.5
- (2 4 4), 59.17°, I 23.9
- (2 6 0), 64.74°, I 20.9
- (2 2 8), 77.79°, I 16.3
- (1 5 3), 54.00°, I 12.8



[2]
Mg3Sc: computed XRD peak list (Cu Ka), based on a crystal structure in the Materials Project, relaxed with GGA-PBE.

```
data_Mg3Sc
_chemical_formula_sum 'Mg6 Sc2'
_cell_length_a 6.4513
_cell_length_b 6.4513
_cell_length_c 5.0952
_cell_angle_alpha 90.00
_cell_angle_beta 90.00
_cell_angle_gamma 120.00
_symmetry_space_group_name_H-M 'P 63/m m c'
_symmetry_Int_Tables_number 194
_symmetry_space_group_name_Hall '-P 6c 2c'
loop_
_atom_site_label
_atom_site_fract_x
_atom_site_fract_y
_atom_site_fract_z
Mg1 0.1668 0.3336 0.2500
Sc1 0.3333 0.6667 0.7500
```

Largest 10 diffraction maxima, by intensity, 2θ = 10–90°:
- (2 0 1), 36.69°, I 100.0
- (0 0 2), 35.23°, I 25.0
- (2 0 0), 32.04°, I 24.5
- (2 2 2), 68.91°, I 18.5
- (2 0 3), 64.18°, I 17.5
- (2 2 0), 57.11°, I 17.0
- (2 0 2), 48.35°, I 14.5
- (4 0 1), 69.82°, I 13.3
- (1 0 1), 23.63°, I 8.3
- (1 0 0), 15.86°, I 3.8



[3]
TlH: computed XRD peak list (Cu Ka), based on a crystal structure in the Materials Project, relaxed with GGA-PBE.

```
data_TlH
_chemical_formula_sum 'Tl2 H2'
_cell_length_a 3.8911
_cell_length_b 3.8911
_cell_length_c 6.5684
_cell_angle_alpha 90.00
_cell_angle_beta 90.00
_cell_angle_gamma 120.00
_symmetry_space_group_name_H-M 'P 63 m c'
_symmetry_Int_Tables_number 186
_symmetry_space_group_name_Hall 'P 6c -2c'
loop_
_atom_site_label
_atom_site_fract_x
_atom_site_fract_y
_atom_site_fract_z
Tl1 0.3333 0.6667 0.0000
H1 0.3333 0.6667 0.6372
```

Largest 10 diffraction maxima, by intensity, 2θ = 10–90°:
- (1 0 1), 29.80°, I 100.0
- (0 0 2), 27.15°, I 28.3
- (1 0 3), 49.66°, I 25.4
- (1 1 2), 54.85°, I 25.1
- (1 0 0), 26.45°, I 23.1
- (1 1 0), 46.69°, I 20.3
- (1 0 2), 38.27°, I 17.4
- (2 0 1), 56.38°, I 17.3
- (2 1 1), 76.13°, I 14.5
- (2 1 3), 88.89°, I 10.3



[4]
Mg2Ag: computed XRD peak list (Cu Ka), based on a crystal structure in the Materials Project, relaxed with GGA-PBE.

```
data_Mg2Ag
_chemical_formula_sum 'Mg8 Ag4'
_cell_length_a 10.1430
_cell_length_b 4.8686
_cell_length_c 4.8369
_cell_angle_alpha 90.00
_cell_angle_beta 90.00
_cell_angle_gamma 90.00
_symmetry_space_group_name_H-M 'C m c m'
_symmetry_Int_Tables_number 63
_symmetry_space_group_name_Hall '-C 2c 2'
loop_
_atom_site_label
_atom_site_fract_x
_atom_site_fract_y
_atom_site_fract_z
Mg1 0.1544 0.2275 0.2500
Ag1 0.0000 0.2789 0.7500
```

Largest 10 diffraction maxima, by intensity, 2θ = 10–90°:
- (3 1 1), 37.34°, I 100.0
- (1 1 1), 27.44°, I 59.5
- (2 0 0), 17.49°, I 57.2
- (0 0 2), 37.18°, I 26.5
- (0 2 0), 36.93°, I 24.0
- (3 1 3), 67.13°, I 16.4
- (0 2 2), 53.40°, I 15.8
- (5 1 1), 52.40°, I 15.0
- (3 3 1), 66.80°, I 13.1
- (2 0 2), 41.36°, I 12.8



[5]
SmHgPd: computed XRD peak list (Cu Ka), based on a crystal structure in the Materials Project, relaxed with GGA-PBE.

```
data_SmHgPd
_chemical_formula_sum 'Sm3 Hg3 Pd3'
_cell_length_a 7.7894
_cell_length_b 7.7894
_cell_length_c 3.9177
_cell_angle_alpha 90.00
_cell_angle_beta 90.00
_cell_angle_gamma 120.00
_symmetry_space_group_name_H-M 'P -6 2 m'
_symmetry_Int_Tables_number 189
_symmetry_space_group_name_Hall 'P -6 -2'
loop_
_atom_site_label
_atom_site_fract_x
_atom_site_fract_y
_atom_site_fract_z
Sm1 0.0000 0.5989 0.0000
Hg1 0.0000 0.2650 0.5000
Pd1 0.0000 0.0000 0.0000
Pd2 0.3333 0.6667 0.5000
```

Largest 10 diffraction maxima, by intensity, 2θ = 10–90°:
- (2 0 1), 35.15°, I 100.0
- (1 1 1), 32.41°, I 91.7
- (3 0 0), 40.10°, I 34.4
- (3 2 1), 64.77°, I 28.5
- (2 1 1), 42.29°, I 22.6
- (2 1 2), 59.51°, I 19.7
- (0 0 2), 46.35°, I 18.9
- (3 0 2), 62.93°, I 18.2
- (4 0 0), 54.36°, I 12.5
- (5 0 1), 74.39°, I 11.2



[6]
ZnGaO3: computed XRD peak list (Cu Ka), based on a crystal structure in the Materials Project, relaxed with GGA-PBE.

```
data_ZnGaO3
_chemical_formula_sum 'Zn1 Ga1 O3'
_cell_length_a 3.8282
_cell_length_b 3.8282
_cell_length_c 3.8282
_cell_angle_alpha 90.00
_cell_angle_beta 90.00
_cell_angle_gamma 90.00
_symmetry_space_group_name_H-M 'P m -3 m'
_symmetry_Int_Tables_number 221
_symmetry_space_group_name_Hall '-P 4 2 3'
loop_
_atom_site_label
_atom_site_fract_x
_atom_site_fract_y
_atom_site_fract_z
Zn1 0.0000 0.0000 0.0000
Ga1 0.5000 0.5000 0.5000
O1 0.0000 0.5000 0.5000
```

Largest 10 diffraction maxima, by intensity, 2θ = 10–90°:
- (1 1 0), 33.09°, I 100.0
- (2 0 0), 47.50°, I 39.1
- (2 1 1), 59.11°, I 37.6
- (2 2 0), 69.44°, I 21.9
- (3 1 0), 79.11°, I 15.8
- (2 2 2), 88.47°, I 7.3
- (1 1 1), 40.83°, I 4.7
- (1 0 0), 23.24°, I 3.0
- (2 1 0), 53.53°, I 0.8
- (3 1 1), 83.81°, I 0.8



[7]
RbMg: computed XRD peak list (Cu Ka), based on a crystal structure in the Materials Project, relaxed with GGA-PBE.

```
data_RbMg
_chemical_formula_sum 'Rb6 Mg6'
_cell_length_a 4.9264
_cell_length_b 4.2012
_cell_length_c 31.0874
_cell_angle_alpha 90.00
_cell_angle_beta 90.00
_cell_angle_gamma 90.00
_symmetry_space_group_name_H-M 'A m m 2'
_symmetry_Int_Tables_number 38
_symmetry_space_group_name_Hall 'A 2 -2'
loop_
_atom_site_label
_atom_site_fract_x
_atom_site_fract_y
_atom_site_fract_z
Rb1 0.0000 0.0000 0.0000
Rb2 0.0000 0.0000 0.2394
Rb3 0.5000 0.0000 0.8683
Mg1 0.0000 0.0000 0.6272
Mg2 0.5000 0.0000 0.1367
Mg3 0.5000 0.0000 0.5647
```

Largest 10 diffraction maxima, by intensity, 2θ = 10–90°:
- (1 0 4), 21.35°, I 100.0
- (0 0 8), 22.87°, I 64.5
- (1 1 3), 29.25°, I 59.6
- (1 1 5), 31.47°, I 33.0
- (2 0 8), 43.50°, I 30.4
- (1 1 13), 47.46°, I 19.0
- (1 1 1), 28.06°, I 18.5
- (0 1 5), 25.59°, I 17.8
- (1 2 4), 48.55°, I 17.5
- (1 1 11), 42.68°, I 16.8



[8]
Dy4MnS7: computed XRD peak list (Cu Ka), based on a crystal structure in the Materials Project, relaxed with GGA-PBE.

```
data_Dy4MnS7
_chemical_formula_sum 'Dy8 Mn2 S14'
_cell_length_a 12.5295
_cell_length_b 3.8093
_cell_length_c 11.4613
_cell_angle_alpha 90.00
_cell_angle_beta 104.80
_cell_angle_gamma 90.00
_symmetry_space_group_name_H-M 'C 1 m 1'
_symmetry_Int_Tables_number 8
_symmetry_space_group_name_Hall 'C -2y'
loop_
_atom_site_label
_atom_site_fract_x
_atom_site_fract_y
_atom_site_fract_z
Dy1 0.0000 0.0000 0.0000
Dy2 0.0789 0.5000 0.3620
Dy3 0.1931 0.5000 0.8015
Dy4 0.3868 0.0000 0.5974
Mn1 0.3073 0.5000 0.2163
S1 0.0333 0.0000 0.7443
S2 0.1595 0.5000 0.0222
S3 0.2000 0.0000 0.2924
S4 0.2292 0.5000 0.5796
S5 0.3547 0.0000 0.8467
S6 0.4239 0.0000 0.1478
S7 0.4487 0.5000 0.4355
```

Largest 10 diffraction maxima, by intensity, 2θ = 10–90°:
- (2 0 2), 24.39°, I 100.0
- (2 0 -3), 24.82°, I 95.2
- (3 1 0), 32.31°, I 60.8
- (3 1 1), 34.72°, I 59.2
- (3 1 -2), 33.53°, I 55.9
- (3 1 -1), 31.89°, I 51.0
- (6 0 1), 47.83°, I 46.0
- (4 0 -1), 28.50°, I 44.6
- (1 1 4), 42.52°, I 44.6
- (1 1 -2), 28.32°, I 42.8



[9]
ThOs2: computed XRD peak list (Cu Ka), based on a crystal structure in the Materials Project, relaxed with GGA-PBE.

Unit cell a=7.7312 b=7.7312 c=7.7312 alpha=90.00 beta=90.00 gamma=90.00
Space group Fd-3m (No. 227, origin choice 2)
Unique sites:
Th1 0.1250 0.1250 0.1250 x8
Os1 0.0000 0.0000 0.5000 x16

Largest 10 diffraction maxima, by intensity, 2θ = 10–90°:
- (3 1 1), 38.62°, I 100.0
- (2 2 2), 40.42°, I 34.5
- (5 1 1), 62.41°, I 33.5
- (2 2 0), 32.76°, I 32.6
- (4 4 0), 68.68°, I 28.4
- (6 2 2), 82.82°, I 13.5
- (4 2 2), 58.48°, I 13.0
- (5 3 3), 81.67°, I 12.0
- (6 2 0), 78.20°, I 5.7
- (4 0 0), 47.01°, I 2.7



Q: Which formula does entry 4 have?
A: Mg2Ag